Record 1
Computed PXRD pattern of HfTl2PbSe4 for λ = 1.5418 Å (Cu Kα), from a structure optimized by DFT (GGA-PBE).

Cell and atoms:
```
data_HfTl2PbSe4
_chemical_formula_sum 'Hf4 Tl8 Pb4 Se16'
_cell_length_a 16.1373
_cell_length_b 8.5949
_cell_length_c 7.1119
_cell_angle_alpha 90.00
_cell_angle_beta 109.04
_cell_angle_gamma 90.00
_space_group_name_H-M_alt 'C 1 2/c 1'
_space_group_IT_number 15
loop_
_space_group_symop_operation_xyz
'x,y,z'
'-x,-y,-z'
'-x,y,-z+1/2'
'x,-y,z+1/2'
'x+1/2,y+1/2,z'
'-x+1/2,-y+1/2,-z'
'-x+1/2,y+1/2,-z+1/2'
'x+1/2,-y+1/2,z+1/2'
loop_
_atom_site_label
_atom_site_fract_x
_atom_site_fract_y
_atom_site_fract_z
Hf1 0.0000 0.1238 0.2500
Tl1 0.2482 0.3738 0.2294
Pb1 0.0000 0.3767 0.7500
Se1 0.0973 0.1016 0.0039
Se2 0.1074 0.3406 0.4645
```

Main lines, in order of rising 2θ (2θ = 15–90°):
d_spacing	I (rel.)
3.814	133
3.519	201
3.068	1000
2.277	259
2.192	117
2.149	116
2.075	213
1.760	116
1.534	101
1.426	92

Record 2
Computed PXRD pattern of HfPd5 for λ = 1.5418 Å (Cu Kα), from a structure optimized by DFT (GGA-PBE).

Cell and atoms:
```
data_HfPd5
_chemical_formula_sum 'Hf2 Pd10'
_cell_length_a 4.0194
_cell_length_b 11.8400
_cell_length_c 4.0391
_cell_angle_alpha 90.00
_cell_angle_beta 90.00
_cell_angle_gamma 90.00
_space_group_name_H-M_alt 'C m m m'
_space_group_IT_number 65
_space_group_name_Hall '-C 2 2'
loop_
_atom_site_label
_atom_site_fract_x
_atom_site_fract_y
_atom_site_fract_z
Hf1 0.0000 0.0000 0.0000
Pd1 0.0000 0.1664 0.5000
Pd2 0.0000 0.3366 0.0000
Pd3 0.0000 0.5000 0.5000
```

Main lines, in order of rising 2θ (2θ = 15–90°):
d_spacing	I (rel.)
2.310	1000
2.020	167
2.010	165
1.973	155
1.425	106
1.411	103
1.215	125
1.210	124
1.194	119
1.155	107

Record 3
Computed PXRD pattern of HfPd2 for λ = 1.5418 Å (Cu Kα), from a structure optimized by DFT (GGA-PBE).

Cell and atoms:
```
data_HfPd2
_chemical_formula_sum 'Hf2 Pd4'
_cell_length_a 3.4322
_cell_length_b 3.4322
_cell_length_c 8.7288
_cell_angle_alpha 90.00
_cell_angle_beta 90.00
_cell_angle_gamma 90.00
_space_group_name_H-M_alt 'I 4/m m m'
_space_group_IT_number 139
_space_group_name_Hall '-I 4 2'
loop_
_atom_site_label
_atom_site_fract_x
_atom_site_fract_y
_atom_site_fract_z
Hf1 0.0000 0.0000 0.0000
Pd1 0.0000 0.0000 0.3386
```

Main lines, in order of rising 2θ (2θ = 15–90°):
d_spacing	I (rel.)
4.364	58
3.194	64
2.427	652
2.219	1000
1.716	227
1.455	64
1.358	410
1.248	153
1.213	71
1.110	109

Record 4
Computed PXRD pattern of HfPd3 for λ = 1.5418 Å (Cu Kα), from a structure optimized by DFT (GGA-PBE).

Cell and atoms:
```
data_HfPd3
_chemical_formula_sum 'Hf4 Pd12'
_cell_length_a 5.6707
_cell_length_b 5.6707
_cell_length_c 9.3000
_cell_angle_alpha 90.00
_cell_angle_beta 90.00
_cell_angle_gamma 120.00
_space_group_name_H-M_alt 'P 63/m m c'
_space_group_IT_number 194
_space_group_name_Hall '-P 6c 2c'
loop_
_atom_site_label
_atom_site_fract_x
_atom_site_fract_y
_atom_site_fract_z
Hf1 0.0000 0.0000 0.0000
Hf2 0.3333 0.6667 0.2500
Pd1 0.0000 0.5000 0.0000
Pd2 0.1688 0.3376 0.7500
```

Main lines, in order of rising 2θ (2θ = 15–90°):
d_spacing	I (rel.)
2.455	80
2.374	433
2.325	363
2.171	1000
1.925	231
1.483	98
1.418	224
1.311	193
1.210	266
1.187	141